1.
This entry pairs a crystal structure of Mn5BeCr2Os2 with its theoretical powder XRD pattern. Radiation: Cu Kα X-rays. Structure: a GGA-PBE-relaxed structure.
Intensities are scaled so that the largest is 100.

Principal peaks in the range 2θ = 5–70°, sorted by position:
- 2θ 13.84, d = 6.401 Å, I 29
- 2θ 19.61, d = 4.526 Å, I 37
- 2θ 21.96, d = 4.048 Å, I 52
- 2θ 34.74, d = 2.582 Å, I 17
- 2θ 37.56, d = 2.395 Å, I 49
- 2θ 38.90, d = 2.315 Å, I 60
- 2θ 41.11, d = 2.195 Å, I 90
- 2θ 42.36, d = 2.134 Å, I 74
- 2θ 45.12, d = 2.010 Å, I 100
- 2θ 48.54, d = 1.876 Å, I 22
- 2θ 51.78, d = 1.765 Å, I 18
- 2θ 53.87, d = 1.702 Å, I 19

Cell and atoms:
```
data_Mn5BeCr2Os2
_cell_length_a 9.052
_cell_length_b 9.052
_cell_length_c 2.822
_cell_angle_alpha 90.00
_cell_angle_beta 90.00
_cell_angle_gamma 90.00
_space_group_name_H-M_alt 'P 1'
_space_group_IT_number 1
_space_group_name_Hall 'P 1'
loop_
_atom_site_label
_atom_site_type_symbol
_atom_site_fract_x
_atom_site_fract_y
_atom_site_fract_z
_atom_site_occupancy
Mn1 Mn 0.000 0.500 0.000 1
Mn2 Mn 0.060 0.183 0.000 1
Mn3 Mn 0.183 0.940 0.000 1
Mn4 Mn 0.317 0.440 0.000 1
Mn5 Mn 0.440 0.683 0.000 1
Mn6 Mn 0.500 0.000 0.000 1
Mn7 Mn 0.560 0.317 0.000 1
Mn8 Mn 0.683 0.560 0.000 1
Mn9 Mn 0.817 0.060 0.000 1
Mn10 Mn 0.940 0.817 0.000 1
Be1 Be 0.000 0.000 0.500 1
Be2 Be 0.500 0.500 0.500 1
Cr1 Cr 0.134 0.366 0.500 1
Cr2 Cr 0.366 0.866 0.500 1
Cr3 Cr 0.634 0.134 0.500 1
Cr4 Cr 0.866 0.634 0.500 1
Os1 Os 0.173 0.673 0.500 1
Os2 Os 0.327 0.173 0.500 1
Os3 Os 0.673 0.827 0.500 1
Os4 Os 0.827 0.327 0.500 1
```

***

2.
This entry pairs a crystal structure of Mn5Be2CrRe2 with its theoretical powder XRD pattern. Radiation: Cu Kα X-rays. Structure: a GGA-PBE-relaxed structure.
Intensities are scaled so that the largest is 100.

Principal peaks in the range 2θ = 5–70°, sorted by position:
- 2θ 20.57, d = 4.319 Å, I 17
- 2θ 23.02, d = 3.863 Å, I 77
- 2θ 37.22, d = 2.416 Å, I 22
- 2θ 38.70, d = 2.327 Å, I 100
- 2θ 42.89, d = 2.108 Å, I 23
- 2θ 43.18, d = 2.095 Å, I 77
- 2θ 44.50, d = 2.036 Å, I 31
- 2θ 45.51, d = 1.993 Å, I 77
- 2θ 47.05, d = 1.931 Å, I 14
- 2θ 49.23, d = 1.851 Å, I 12
- 2θ 63.87, d = 1.457 Å, I 14
- 2θ 66.54, d = 1.405 Å, I 13

Cell and atoms:
```
data_Mn5Be2CrRe2
_cell_length_a 8.638
_cell_length_b 8.638
_cell_length_c 2.915
_cell_angle_alpha 90.00
_cell_angle_beta 90.00
_cell_angle_gamma 90.00
_space_group_name_H-M_alt 'P 1'
_space_group_IT_number 1
_space_group_name_Hall 'P 1'
loop_
_atom_site_label
_atom_site_type_symbol
_atom_site_fract_x
_atom_site_fract_y
_atom_site_fract_z
_atom_site_occupancy
Mn1 Mn 0.000 0.500 0.000 1
Mn2 Mn 0.066 0.205 0.000 1
Mn3 Mn 0.205 0.934 0.000 1
Mn4 Mn 0.295 0.434 0.000 1
Mn5 Mn 0.434 0.705 0.000 1
Mn6 Mn 0.500 0.000 0.000 1
Mn7 Mn 0.566 0.295 0.000 1
Mn8 Mn 0.705 0.566 0.000 1
Mn9 Mn 0.795 0.066 0.000 1
Mn10 Mn 0.934 0.795 0.000 1
Be1 Be 0.124 0.376 0.500 1
Be2 Be 0.376 0.876 0.500 1
Be3 Be 0.624 0.124 0.500 1
Be4 Be 0.876 0.624 0.500 1
Cr1 Cr 0.000 0.000 0.500 1
Cr2 Cr 0.500 0.500 0.500 1
Re1 Re 0.174 0.674 0.500 1
Re2 Re 0.326 0.174 0.500 1
Re3 Re 0.674 0.826 0.500 1
Re4 Re 0.826 0.326 0.500 1
```

***

3.
This entry pairs a crystal structure of Be10NbCr with its theoretical powder XRD pattern. Radiation: Cu Kα X-rays. Structure: a GGA-PBE-relaxed structure.
Intensities are scaled so that the largest is 100.

Principal peaks in the range 2θ = 5–70°, sorted by position:
- 2θ 11.77, d = 7.520 Å, I 16
- 2θ 23.66, d = 3.760 Å, I 33
- 2θ 23.79, d = 3.740 Å, I 66
- 2θ 26.28, d = 3.391 Å, I 32
- 2θ 35.71, d = 2.514 Å, I 100
- 2θ 41.68, d = 2.167 Å, I 25
- 2θ 41.92, d = 2.155 Å, I 12
- 2θ 48.70, d = 1.870 Å, I 18
- 2θ 49.95, d = 1.826 Å, I 37
- 2θ 50.15, d = 1.819 Å, I 18
- 2θ 54.09, d = 1.695 Å, I 9
- 2θ 59.88, d = 1.545 Å, I 15

Cell and atoms:
```
data_Be10NbCr
_cell_length_a 3.391
_cell_length_b 4.310
_cell_length_c 7.520
_cell_angle_alpha 90.00
_cell_angle_beta 90.00
_cell_angle_gamma 90.00
_space_group_name_H-M_alt 'P 1'
_space_group_IT_number 1
_space_group_name_Hall 'P 1'
loop_
_atom_site_label
_atom_site_type_symbol
_atom_site_fract_x
_atom_site_fract_y
_atom_site_fract_z
_atom_site_occupancy
Be1 Be 0.000 0.000 0.000 1
Be2 Be 0.000 0.248 0.246 1
Be3 Be 0.000 0.248 0.754 1
Be4 Be 0.000 0.500 0.500 1
Be5 Be 0.000 0.752 0.246 1
Be6 Be 0.000 0.752 0.754 1
Be7 Be 0.500 0.000 0.159 1
Be8 Be 0.500 0.000 0.841 1
Be9 Be 0.500 0.500 0.320 1
Be10 Be 0.500 0.500 0.680 1
Nb1 Nb 0.500 0.000 0.500 1
Cr1 Cr 0.500 0.500 0.000 1
```

***

4.
This entry pairs a crystal structure of BeNbCr with its theoretical powder XRD pattern. Radiation: Cu Kα X-rays. Structure: a GGA-PBE-relaxed structure.
Intensities are scaled so that the largest is 100.

Principal peaks in the range 2θ = 5–70°, sorted by position:
- 2θ 23.27, d = 3.823 Å, I 73
- 2θ 26.16, d = 3.406 Å, I 16
- 2θ 36.82, d = 2.441 Å, I 60
- 2θ 37.63, d = 2.390 Å, I 100
- 2θ 43.99, d = 2.058 Å, I 89
- 2θ 44.45, d = 2.038 Å, I 18
- 2θ 45.44, d = 1.996 Å, I 91
- 2θ 45.73, d = 1.984 Å, I 10
- 2θ 59.05, d = 1.564 Å, I 10
- 2θ 66.86, d = 1.399 Å, I 18
- 2θ 68.45, d = 1.371 Å, I 17
- 2θ 69.74, d = 1.348 Å, I 16

Cell and atoms:
```
data_BeNbCr
_cell_length_a 4.785
_cell_length_b 4.785
_cell_length_c 4.785
_cell_angle_alpha 122.29
_cell_angle_beta 118.65
_cell_angle_gamma 89.22
_space_group_name_H-M_alt 'P 1'
_space_group_IT_number 1
_space_group_name_Hall 'P 1'
loop_
_atom_site_label
_atom_site_type_symbol
_atom_site_fract_x
_atom_site_fract_y
_atom_site_fract_z
_atom_site_occupancy
Be1 Be 0.000 0.000 0.000 1
Be2 Be 0.500 0.000 0.500 1
Nb1 Nb 0.374 0.624 0.750 1
Nb2 Nb 0.626 0.376 0.250 1
Cr1 Cr 0.000 0.000 0.500 1
Cr2 Cr 0.000 0.500 0.000 1
```